For Mg4Si7, a DFT-relaxed cell (PBE, Alexandria) gives the theoretical powder diffraction line list in this record (Cu Kα (weighted mean of Kα1 and Kα2)).
Neutral-atom scattering factors, no anomalous dispersion.

Structure:
abc: 4.2926 6.3188 15.3543
angles: 86.57 89.99 89.52
Space group P1 (No. 1)
Symmetry-distinct sites (fractional):
Mg: 0.0000 0.0000 0.0000 (multiplicity 1)
Mg: 0.0009 0.0909 0.2269 (multiplicity 1)
Mg: 0.0051 0.5160 0.0566 (multiplicity 1)
Mg: 0.4618 0.9344 0.8137 (multiplicity 1)
Mg: 0.4889 0.4123 0.7416 (multiplicity 1)
Mg: 0.5028 0.8106 0.1378 (multiplicity 1)
Mg: 0.9901 0.9524 0.4445 (multiplicity 1)
Mg: 0.9913 0.4623 0.3841 (multiplicity 1)
Si: 0.0023 0.6494 0.2280 (multiplicity 1)
Si: 0.0075 0.2900 0.8624 (multiplicity 1)
Si: 0.4910 0.6987 0.4299 (multiplicity 1)
Si: 0.4926 0.3198 0.4816 (multiplicity 1)
Si: 0.4949 0.1048 0.6243 (multiplicity 1)
Si: 0.4953 0.1336 0.3455 (multiplicity 1)
Si: 0.4950 0.7494 0.5815 (multiplicity 1)
Si: 0.5031 0.2156 0.1036 (multiplicity 1)
Si: 0.5027 0.4311 0.2308 (multiplicity 1)
Si: 0.5040 0.7363 0.9722 (multiplicity 1)
Si: 0.5053 0.3662 0.9514 (multiplicity 1)
Si: 0.9779 0.6439 0.7922 (multiplicity 1)
Si: 0.9939 0.2662 0.5732 (multiplicity 1)
Si: 0.9948 0.6054 0.6350 (multiplicity 1)

Main lines, low angle first (2θ from 10° to 90°):
index, two_theta, Rel. int.
0 0 5, 29.13, 28
1 1 4, 33.77, 36
-1 1 4, 33.92, 38
1 1 -4, 34.96, 26
1 -1 4, 35.14, 46
1 2 1, 35.42, 29
1 0 -5, 36.00, 28
1 -2 2, 37.98, 33
2 0 0, 42.10, 100
-1 1 7, 48.12, 29